(1)
Simulated powder X-ray diffraction pattern of HoMgCr2O6 for a wavelength of 1.5418 Å, from a structure optimized by DFT (GGA+U).
Neutral-atom scattering factors, no anomalous dispersion.

Peak list (6 most intense, 10 to 90 degrees two-theta, sorted by position)
two_theta  I/Imax
20.23  42.9
20.87  47.5
33.81  100.0
34.79  22.9
48.83  19.5
61.75  24.1

```
HoMgCr2O6
1.0
7.537 0.000 0.000
0.000 5.401 0.000
0.000 0.000 5.157
Ho Mg Cr O
2 2 4 12
direct
0.000 0.182 0.000
0.500 0.818 0.500
0.000 0.695 0.472
0.500 0.305 0.972
0.250 0.256 0.485
0.250 0.744 0.985
0.750 0.256 0.485
0.750 0.744 0.985
0.000 0.310 0.594
0.000 0.788 0.859
0.189 0.445 0.185
0.190 0.943 0.307
0.310 0.057 0.807
0.311 0.555 0.685
0.500 0.212 0.359
0.500 0.690 0.094
0.689 0.555 0.685
0.690 0.057 0.807
0.810 0.943 0.307
0.811 0.445 0.185
```

---

(2)
Simulated powder X-ray diffraction pattern of Ho2MgCr2O8 for a wavelength of 1.5418 Å, from a structure optimized by DFT (GGA+U).
Neutral-atom scattering factors, no anomalous dispersion.

Peak list (6 most intense, 10 to 90 degrees two-theta, sorted by position)
two_theta  I/Imax
12.32  91.0
19.01  34.5
25.65  35.6
26.01  100.0
30.19  47.9
37.32  50.4

```
Ho2MgCr2O8
1.0
3.250 -7.183 0.000
3.250 7.183 0.000
-3.163 0.000 3.897
Ho Mg Cr O
2 1 2 8
direct
0.000 0.000 0.000
0.674 0.326 0.500
0.328 0.672 0.000
0.162 0.838 0.500
0.525 0.475 0.000
0.079 0.577 0.578
0.224 0.362 0.988
0.326 0.204 0.526
0.361 0.118 0.965
0.423 0.921 0.422
0.638 0.776 0.012
0.796 0.674 0.474
0.882 0.639 0.035
```

---

(3)
Simulated powder X-ray diffraction pattern of HoCr2O2 for a wavelength of 1.5418 Å, from a structure optimized by DFT (GGA+U).
Neutral-atom scattering factors, no anomalous dispersion.

Peak list (6 most intense, 10 to 90 degrees two-theta, sorted by position)
two_theta  I/Imax
13.58  51.4
27.35  47.8
28.30  100.0
36.07  51.5
40.46  30.1
49.52  31.6

```
HoCr2O2
1.0
-4.459 4.459 4.782
4.459 -4.459 4.782
4.459 4.459 -4.782
Ho Cr O
4 8 8
direct
0.000 0.000 0.000
0.000 0.000 0.500
0.000 0.500 0.000
0.500 0.000 0.500
0.087 0.642 0.445
0.303 0.358 0.945
0.358 0.303 0.445
0.358 0.913 0.055
0.642 0.087 0.945
0.642 0.697 0.555
0.697 0.642 0.055
0.913 0.358 0.555
0.203 0.300 0.597
0.203 0.607 0.903
0.300 0.203 0.097
0.393 0.797 0.597
0.607 0.203 0.403
0.700 0.797 0.903
0.797 0.393 0.097
0.797 0.700 0.403
```

---

(4)
Simulated powder X-ray diffraction pattern of HoCrO4 for a wavelength of 1.5418 Å, from a structure optimized by DFT (GGA+U).
Neutral-atom scattering factors, no anomalous dispersion.

Peak list (6 most intense, 10 to 90 degrees two-theta, sorted by position)
two_theta  I/Imax
18.78  38.8
24.79  100.0
33.58  70.3
35.34  22.3
49.54  58.5
62.31  17.1

```
HoCrO4
1.0
-3.592 3.592 3.136
3.592 -3.592 3.136
3.592 3.592 -3.136
Ho Cr O
2 2 8
direct
0.375 0.625 0.750
0.625 0.375 0.250
0.125 0.875 0.250
0.875 0.125 0.750
0.134 0.700 0.435
0.235 0.300 0.935
0.300 0.235 0.435
0.300 0.866 0.065
0.700 0.134 0.935
0.700 0.765 0.565
0.765 0.700 0.065
0.866 0.300 0.565
```

---

(5)
Simulated powder X-ray diffraction pattern of HoCrO4 for a wavelength of 1.5418 Å, from a structure optimized by DFT (GGA+U).
Neutral-atom scattering factors, no anomalous dispersion.

Peak list (6 most intense, 10 to 90 degrees two-theta, sorted by position)
two_theta  I/Imax
19.28  28.6
29.62  100.0
35.62  18.8
48.36  27.0
55.08  16.3
60.32  27.7

```
HoCrO4
1.0
-2.520 2.520 5.660
2.520 -2.520 5.660
2.520 2.520 -5.660
Ho Cr O
2 2 8
direct
0.375 0.125 0.250
0.625 0.875 0.750
0.125 0.375 0.750
0.875 0.625 0.250
0.057 0.193 0.345
0.212 0.557 0.364
0.307 0.151 0.864
0.349 0.712 0.155
0.651 0.288 0.845
0.693 0.849 0.136
0.788 0.443 0.636
0.943 0.807 0.655
```

---

(6)
Simulated powder X-ray diffraction pattern of Ho2CrSbO7 for a wavelength of 1.5418 Å, from a structure optimized by DFT (GGA+U).
Neutral-atom scattering factors, no anomalous dispersion.

Peak list (6 most intense, 10 to 90 degrees two-theta, sorted by position)
two_theta  I/Imax
29.99  100.0
30.20  99.0
34.85  42.8
50.19  62.8
59.39  28.4
59.76  41.7

```
Ho2CrSbO7
1.0
-3.622 3.659 5.134
3.622 -3.659 5.134
3.622 3.659 -5.134
Ho Cr Sb O
4 2 2 14
direct
0.000 0.000 0.000
0.500 0.000 0.000
0.500 0.000 0.500
0.500 0.500 0.500
0.000 0.000 0.500
0.000 0.500 0.000
0.000 0.500 0.500
0.500 0.500 0.000
0.088 0.419 0.256
0.088 0.832 0.669
0.091 0.841 0.250
0.334 0.584 0.750
0.337 0.168 0.756
0.337 0.581 0.169
0.378 0.128 0.250
0.622 0.872 0.750
0.663 0.419 0.831
0.663 0.832 0.244
0.666 0.416 0.250
0.909 0.159 0.750
0.912 0.168 0.331
0.912 0.581 0.744
```

---

(7)
Simulated powder X-ray diffraction pattern of HoZnCr2O6 for a wavelength of 1.5418 Å, from a structure optimized by DFT (GGA+U).
Neutral-atom scattering factors, no anomalous dispersion.

Peak list (6 most intense, 10 to 90 degrees two-theta, sorted by position)
two_theta  I/Imax
20.68  15.0
33.24  19.2
33.57  100.0
34.50  23.4
48.66  18.9
61.21  23.0

```
HoZnCr2O6
1.0
7.616 0.000 0.000
0.000 5.391 0.000
0.000 0.000 5.200
Ho Zn Cr O
2 2 4 12
direct
0.000 0.181 0.000
0.500 0.819 0.500
0.000 0.720 0.483
0.500 0.280 0.983
0.249 0.261 0.485
0.251 0.739 0.985
0.749 0.739 0.985
0.751 0.261 0.485
0.000 0.313 0.594
0.000 0.784 0.864
0.189 0.442 0.184
0.191 0.944 0.306
0.309 0.056 0.806
0.311 0.558 0.684
0.500 0.216 0.364
0.500 0.687 0.094
0.689 0.558 0.684
0.691 0.056 0.806
0.809 0.944 0.306
0.811 0.442 0.184
```

---

(8)
Simulated powder X-ray diffraction pattern of RbUCrIO10 for a wavelength of 1.5418 Å, from a structure optimized by DFT (GGA+U).
Neutral-atom scattering factors, no anomalous dispersion.

Peak list (6 most intense, 10 to 90 degrees two-theta, sorted by position)
two_theta  I/Imax
14.91  100.0
15.45  74.5
20.41  92.7
24.53  70.8
25.18  66.2
26.95  76.4

```
RbUCrIO10
1.0
7.349 0.000 0.000
2.406 7.870 0.000
0.517 0.309 8.701
Rb U Cr I O
2 2 2 2 20
direct
0.165 0.177 0.346
0.835 0.823 0.654
0.373 0.345 0.775
0.627 0.655 0.225
0.296 0.922 0.913
0.704 0.078 0.087
0.112 0.707 0.217
0.888 0.293 0.783
0.038 0.437 0.725
0.038 0.862 0.364
0.106 0.867 0.884
0.244 0.140 0.895
0.297 0.602 0.631
0.313 0.474 0.945
0.341 0.573 0.293
0.361 0.850 0.098
0.422 0.217 0.606
0.464 0.833 0.789
0.536 0.167 0.211
0.578 0.783 0.394
0.639 0.150 0.902
0.659 0.427 0.707
0.687 0.526 0.055
0.703 0.398 0.369
0.756 0.860 0.105
0.894 0.133 0.116
0.962 0.138 0.636
0.962 0.563 0.275
```